The following is a computed powder diffractogram of Pr2Co17. It was derived from a PBE-relaxed structure, using CuKα.

Structure:
```
data_Pr2Co17
_cell_length_a 8.3601
_cell_length_b 8.3601
_cell_length_c 12.1439
_cell_angle_alpha 90.00
_cell_angle_beta 90.00
_cell_angle_gamma 120.00
_space_group_name_H-M_alt 'R -3 m'
_space_group_IT_number 166
_space_group_name_Hall '-R 3 2"'
loop_
_atom_site_label
_atom_site_type_symbol
_atom_site_fract_x
_atom_site_fract_y
_atom_site_fract_z
Pr1 Pr 0.0000 0.0000 0.1548
Co1 Co 0.0000 0.0000 0.4040
Co2 Co 0.0000 0.2844 0.5000
Co3 Co 0.0000 0.5000 0.0000
Co4 Co 0.0062 0.5031 0.3461
```

The 12 most intense peaks (2θ from 10° to 80°), low angle first:
- (1 1 3), 2θ 30.75, intensity 37
- (3 0 0), 2θ 37.26, intensity 39
- (0 2 4), 2θ 38.71, intensity 35
- (2 2 0), 2θ 43.29, intensity 69
- (3 0 3), 2θ 43.67, intensity 100
- (2 1 4), 2θ 44.58, intensity 20
- (0 0 6), 2θ 44.78, intensity 33
- (2 0 5), 2θ 44.94, intensity 15
- (2 2 3), 2θ 49.05, intensity 27
- (1 4 3), 2θ 63.17, intensity 18
- (2 2 6), 2θ 64.04, intensity 16
- (6 0 0), 2θ 79.42, intensity 16